(1)
# FeHC2O3
Theoretical powder diffraction line list, λ = 1.5418 Å (Cu Kα). Input: a structure optimized by DFT (GGA+U).
Peak positions follow from Bragg's law for the DFT cell and can differ from measured ones.

Cell and atoms:
Cell lengths 3.3931, 10.1961, 8.7941 Å; angles 90.00, 102.37, 90.00 degrees
Positions (direct):
Fe1 0.1917 0.1127 0.4199
Fe2 0.1917 0.3873 0.9199
Fe3 0.8083 0.6127 0.0801
Fe4 0.8083 0.8873 0.5801
H1 0.1659 0.6481 0.8361
H2 0.1659 0.8519 0.3361
H3 0.8341 0.1481 0.6639
H4 0.8341 0.3519 0.1639
C1 0.3576 0.0841 0.9460
C2 0.3576 0.4159 0.4460
C3 0.4251 0.5505 0.3950
C4 0.4251 0.9495 0.8950
C5 0.5749 0.0505 0.1050
C6 0.5749 0.4495 0.6050
C7 0.6424 0.5841 0.5540
C8 0.6424 0.9159 0.0540
O1 0.1816 0.1836 0.8774
O2 0.1816 0.3164 0.3774
O3 0.2365 0.5977 0.9337
O4 0.2365 0.9023 0.4337
O5 0.3403 0.6127 0.2670
O6 0.3403 0.8873 0.7670
O7 0.6597 0.1127 0.2330
O8 0.6597 0.3873 0.7330
O9 0.7635 0.0977 0.5663
O10 0.7635 0.4023 0.0663
O11 0.8184 0.6836 0.6226
O12 0.8184 0.8164 0.1226

Largest 10 diffraction maxima, low angle first, 2θ = 10–90°:
2θ/deg, I (rel.), hkl
13.5, 100.0, 0 1 1
20.3, 47.2, 0 2 1
20.7, 39.6, 0 0 2
22.5, 61.4, 0 1 2
28.3, 40.1, 1 1 0
30.3, 58.3, 1 0 -2
31.6, 35.7, 1 1 -2
35.2, 54.8, 0 4 0
37.7, 55.0, 1 0 2
37.9, 30.3, 1 1 -3



(2)
# Mn3Nb8FeO24
Theoretical powder diffraction line list, λ = 1.5418 Å (Cu Kα). Input: a structure optimized by DFT (GGA+U).
Peak positions follow from Bragg's law for the DFT cell and can differ from measured ones.

Cell and atoms:
Cell lengths 5.1435, 5.8863, 14.5918 Å; angles 90.00, 90.15, 90.00 degrees
Positions (direct):
Mn1 0.0000 0.0000 0.0000
Mn2 0.0000 0.4967 0.5000
Mn3 0.5000 0.6476 0.0000
Nb1 0.0070 0.0051 0.6608
Nb2 0.0084 0.5049 0.8376
Nb3 0.4914 0.6429 0.3385
Nb4 0.4918 0.1423 0.1627
Nb5 0.5082 0.1423 0.8373
Nb6 0.5086 0.6429 0.6615
Nb7 0.9916 0.5049 0.1624
Nb8 0.9930 0.0051 0.3392
Fe1 0.5000 0.1546 0.5000
O1 0.1543 0.7060 0.9188
O2 0.1587 0.2037 0.5806
O3 0.1609 0.1957 0.2451
O4 0.1619 0.6962 0.2565
O5 0.1875 0.7216 0.5984
O6 0.1896 0.2237 0.9013
O7 0.3103 0.4247 0.0988
O8 0.3143 0.9258 0.4029
O9 0.3378 0.9519 0.7441
O10 0.3390 0.4528 0.7552
O11 0.3456 0.9416 0.0812
O12 0.3478 0.4397 0.4194
O13 0.6522 0.4397 0.5806
O14 0.6544 0.9416 0.9188
O15 0.6610 0.4528 0.2448
O16 0.6622 0.9519 0.2559
O17 0.6857 0.9258 0.5971
O18 0.6897 0.4247 0.9012
O19 0.8104 0.2237 0.0987
O20 0.8125 0.7216 0.4016
O21 0.8381 0.6962 0.7435
O22 0.8391 0.1957 0.7549
O23 0.8413 0.2037 0.4194
O24 0.8457 0.7060 0.0812

Largest 10 diffraction maxima, low angle first, 2θ = 10–90°:
2θ/deg, I (rel.), hkl
23.7, 32.8, 0 1 3
29.5, 100.0, 1 1 3
30.4, 10.1, 0 2 0
34.9, 12.7, 2 0 0
35.1, 13.3, 1 2 0
50.1, 13.8, 0 3 3
51.8, 19.0, 2 0 6
51.9, 10.7, 1 2 6
62.1, 11.9, 1 1 9
62.5, 12.6, 2 3 3